For Li2ZnCl4, a DFT-relaxed cell (PBE, the Materials Project) gives the computed powder diffraction line list in this record (CuKα).
Neutral-atom scattering factors, no anomalous dispersion.

Crystal structure
abc: 12.910 7.487 6.148
angles: 90.00 90.00 90.00
Space group Pnma (No. 62)
One atom of each set of equivalent atoms:
Li1 0.000 0.000 0.000 x4
Li2 0.230 0.250 0.496 x4
Zn1 0.089 0.750 0.418 x4
Cl1 0.073 0.250 0.746 x4
Cl2 0.089 0.750 0.785 x4
Cl3 0.166 0.508 0.252 x8

Most intense lines, 2θ = 10–80°, in order of rising 2θ:
hkl 2 1 0, 18.1°, I = 732; hkl 4 0 0, 27.6°, I = 779; hkl 3 1 1, 28.0°, I = 341; hkl 4 0 1, 31.2°, I = 1000; hkl 6 2 0, 48.8°, I = 464; hkl 2 2 3, 52.9°, I = 713